Computed powder XRD pattern
Compound: LiLaH6Ir
Radiation: λ = 1.5418 Å (Cu Kα)
Structure: a crystal structure in Alexandria, relaxed with GGA-PBE
Intensities are scaled so that the largest is 100.

Atomic structure:
Lattice parameters (Å, degrees): 4.6673 4.6673 4.4755 90.00 90.00 120.00
Element x y z (fractional)
1 Li 0.0000 0.0000 0.0000
2 La 0.6667 0.3333 0.5000
3 H 0.1796 0.3593 0.2599
4 H 0.1796 0.3593 0.7401
5 H 0.1796 0.8204 0.2599
6 H 0.1796 0.8204 0.7401
7 H 0.6407 0.8204 0.2599
8 H 0.6407 0.8204 0.7401
9 Ir 0.3333 0.6667 0.0000

Main lines, by angle (10° ≤ 2θ ≤ 80°):
4.042 Å, 22.0 deg, I = 36, (1 0 0)
3.000 Å, 29.8 deg, I = 100, (1 0 1)
2.334 Å, 38.6 deg, I = 34, (1 1 0)
1.958 Å, 46.4 deg, I = 10, (1 0 2)
1.842 Å, 49.5 deg, I = 25, (2 0 1)
1.615 Å, 57.0 deg, I = 22, (1 1 2)
1.446 Å, 64.4 deg, I = 22, (2 1 1)
1.400 Å, 66.8 deg, I = 10, (1 0 3)